No. 1
Structure and simulated powder diffraction line list of CeFeSi (a PBE-relaxed structure; λ = 1.5418 Å (Cu Kα)).

Principal peaks in the range 5 to 70 degrees two-theta, sorted by position:
Position (°2θ)	d_spacing	I_rel
25.73	3.463	1000
31.25	2.862	340
34.07	2.631	445
34.81	2.577	609
41.54	2.174	826
44.78	2.024	542
52.36	1.747	293
57.93	1.592	276

```
CeFeSi
1.0
4.048 0.000 0.000
0.000 4.048 0.000
0.000 0.000 6.685
Ce Fe Si
2 2 2
Cartesian
1.012 1.012 1.266
3.036 3.036 5.419
1.012 3.036 3.342
3.036 1.012 3.342
1.012 1.012 4.529
3.036 3.036 2.156
```

No. 2
Structure and simulated powder diffraction line list of YMg14Nb (a PBE-relaxed structure; λ = 1.5418 Å (Cu Kα)).

Principal peaks in the range 5 to 70 degrees two-theta, sorted by position:
Position (°2θ)	d_spacing	I_rel
8.59	10.291	614
17.94	4.944	249
32.38	2.765	286
34.87	2.573	386
36.34	2.472	534
36.91	2.435	1000
63.87	1.458	187
68.54	1.369	209

```
YMg14Nb
1.0
10.291 0.000 0.000
0.000 3.172 5.637
0.000 -3.172 5.637
Y Mg Nb
1 14 1
Cartesian
0.000 0.000 0.000
0.000 -1.567 2.830
0.000 1.567 2.830
2.491 0.000 7.450
2.585 -1.534 4.685
2.585 1.534 4.685
2.631 0.000 1.879
5.146 0.000 5.636
5.146 -1.576 8.448
5.146 1.576 8.448
5.146 0.000 11.261
7.661 0.000 1.879
7.706 -1.534 4.685
7.706 1.534 4.685
7.801 0.000 7.450
0.000 0.000 5.602
```

No. 3
Structure and simulated powder diffraction line list of LiBC4N4 (a PBE-relaxed structure; λ = 1.5418 Å (Cu Kα)).

Principal peaks in the range 5 to 70 degrees two-theta, sorted by position:
Position (°2θ)	d_spacing	I_rel
15.97	5.551	121
22.65	3.925	338
27.84	3.205	1000
32.25	2.776	242
46.26	1.963	185
49.24	1.850	91
54.85	1.674	65
62.61	1.484	68

```
LiBC4N4
1.0
5.551 0.000 0.000
0.000 5.551 0.000
0.000 0.000 5.551
Li B C N
1 1 4 4
Cartesian
0.000 0.000 0.000
2.776 2.776 2.776
1.858 1.858 1.858
1.858 3.693 3.693
3.693 1.858 3.693
3.693 3.693 1.858
1.187 1.187 1.187
1.187 4.364 4.364
4.364 1.187 4.364
4.364 4.364 1.187
```

No. 4
Structure and simulated powder diffraction line list of HoB2 (a PBE-relaxed structure; λ = 1.5418 Å (Cu Kα)).

Principal peaks in the range 5 to 70 degrees two-theta, sorted by position:
Position (°2θ)	d_spacing	I_rel
23.22	3.830	466
31.42	2.847	755
39.44	2.285	1000
47.47	1.915	106
55.95	1.644	194
58.04	1.589	274
61.38	1.510	212
65.59	1.423	95

```
HoB2
1.0
3.287 0.000 0.000
-1.644 2.847 0.000
0.000 0.000 3.830
Ho B
1 2
Cartesian
0.000 0.000 0.000
0.000 1.898 1.915
1.644 0.949 1.915
```

No. 5
Structure and simulated powder diffraction line list of TiNb2O7 (a PBE-relaxed structure; λ = 1.5418 Å (Cu Kα)).

Principal peaks in the range 5 to 70 degrees two-theta, sorted by position:
Position (°2θ)	d_spacing	I_rel
16.91	5.242	378
17.15	5.170	311
23.71	3.753	1000
25.49	3.495	835
25.81	3.453	649
32.04	2.793	623
33.12	2.705	315
47.37	1.919	387

```
TiNb2O7
1.0
7.677 0.000 0.000
1.920 10.385 0.000
1.919 4.225 10.484
Ti Nb O
6 12 42
Cartesian
0.000 0.000 0.000
1.917 6.716 0.002
3.850 3.913 3.933
5.766 6.566 7.678
5.766 6.647 0.101
7.678 3.920 7.820
1.934 6.604 3.748
3.842 3.864 7.734
5.769 10.360 7.799
3.836 3.944 0.129
5.760 10.572 3.897
5.767 10.390 0.026
5.751 6.672 3.885
7.668 3.878 4.077
9.593 10.550 7.758
7.686 3.945 0.136
9.598 10.435 3.742
9.585 6.602 7.694
1.918 6.637 5.873
1.914 4.376 8.136
3.843 12.724 10.322
1.923 6.567 1.836
1.930 4.398 3.948
3.845 10.520 8.331
3.845 8.672 10.431
3.839 10.448 3.945
3.854 6.099 7.853
3.827 4.256 10.009
3.845 6.103 3.878
3.839 3.959 5.909
5.763 12.407 8.003
5.757 10.393 10.175
3.840 3.893 1.962
3.840 2.099 3.978
5.757 10.348 5.981
5.762 8.382 8.238
5.765 6.357 10.059
5.771 10.564 1.860
5.750 8.498 3.855
5.761 6.622 5.905
5.768 4.372 8.141
7.678 12.698 10.317
5.760 6.570 1.869
5.750 4.378 3.951
7.675 10.507 8.300
7.676 8.699 10.435
7.682 10.441 3.951
7.663 6.093 7.856
7.693 4.252 9.989
7.676 6.118 3.881
7.683 3.978 6.002
9.595 12.485 7.981
9.602 10.411 10.185
7.681 3.890 1.953
7.679 2.036 3.978
9.602 10.379 5.967
9.595 8.432 8.248
9.593 6.359 10.051
9.592 10.538 1.800
9.608 8.461 3.870
```

No. 6
Structure and simulated powder diffraction line list of GdTe (a PBE-relaxed structure; λ = 1.5418 Å (Cu Kα)).

Principal peaks in the range 5 to 70 degrees two-theta, sorted by position:
Position (°2θ)	d_spacing	I_rel
24.67	3.609	364
33.02	2.712	1000
43.43	2.084	311
44.04	2.056	100
50.59	1.804	52
51.13	1.786	100
55.62	1.652	226
63.57	1.463	199

```
GdTe
1.0
4.167 0.000 0.000
-2.084 3.609 0.000
0.000 0.000 4.112
Gd Te
1 1
Cartesian
0.000 0.000 0.000
2.084 1.203 2.056
```

No. 7
Structure and simulated powder diffraction line list of Cs2O (a PBE-relaxed structure; λ = 1.5418 Å (Cu Kα)).

Principal peaks in the range 5 to 70 degrees two-theta, sorted by position:
Position (°2θ)	d_spacing	I_rel
24.02	3.705	362
25.53	3.489	378
27.25	3.272	1000
27.46	3.248	769
35.34	2.540	359
42.53	2.126	229
50.27	1.815	188
51.01	1.790	271

```
Cs2O
1.0
6.977 0.000 0.000
0.000 7.340 0.000
0.000 0.000 4.292
Cs O
4 2
Cartesian
1.546 1.045 0.000
1.942 4.715 2.146
5.035 2.625 2.146
5.431 6.295 0.000
0.000 0.000 2.146
3.489 3.670 0.000
```

No. 8
Structure and simulated powder diffraction line list of USnPt (a PBE-relaxed structure; λ = 1.5418 Å (Cu Kα)).

Principal peaks in the range 5 to 70 degrees two-theta, sorted by position:
Position (°2θ)	d_spacing	I_rel
32.22	2.778	861
35.16	2.552	1000
36.80	2.442	338
41.94	2.154	342
42.93	2.107	247
43.48	2.081	281
62.00	1.497	221
67.01	1.397	297

```
USnPt
1.0
7.462 0.000 0.000
-3.731 6.462 0.000
0.000 0.000 4.163
U Sn Pt
3 3 3
Cartesian
-1.537 2.663 0.000
3.075 0.000 0.000
2.194 3.799 0.000
-2.782 4.818 2.081
0.949 1.644 2.081
5.564 0.000 2.081
0.000 0.000 0.000
0.000 4.308 2.081
3.731 2.154 2.081
```

No. 9
Structure and simulated powder diffraction line list of MgSc2Ag2O6 (a PBE-relaxed structure; λ = 1.5418 Å (Cu Kα)).

Principal peaks in the range 5 to 70 degrees two-theta, sorted by position:
Position (°2θ)	d_spacing	I_rel
19.19	4.625	424
25.07	3.552	1000
32.29	2.772	217
33.32	2.689	585
35.04	2.561	230
38.73	2.325	287
48.39	1.881	417
52.17	1.753	257

```
MgSc2Ag2O6
1.0
3.075 0.000 0.000
0.000 4.625 5.545
0.000 -4.625 5.545
Mg Sc Ag O
1 2 2 6
Cartesian
0.000 0.000 0.000
0.000 -1.808 5.135
0.000 1.808 5.135
1.537 0.000 2.365
1.537 0.000 7.780
0.000 0.000 6.235
0.000 0.000 9.136
1.537 -3.212 5.947
1.537 -1.482 3.934
1.537 1.482 3.934
1.537 3.212 5.947
```

No. 10
Structure and simulated powder diffraction line list of NaSrEuSeO6 (a PBE-relaxed structure; λ = 1.5418 Å (Cu Kα)).

Principal peaks in the range 5 to 70 degrees two-theta, sorted by position:
Position (°2θ)	d_spacing	I_rel
18.78	4.724	152
21.72	4.091	301
30.91	2.893	1000
36.42	2.467	132
44.28	2.046	344
49.84	1.830	110
54.97	1.670	383
64.41	1.447	202

```
NaSrEuSeO6
1.0
0.000 4.091 4.091
4.091 0.000 4.091
4.091 4.091 0.000
Na Sr Eu Se O
1 1 1 1 6
Cartesian
0.000 0.000 0.000
4.091 4.091 4.091
2.046 2.046 2.046
6.137 6.137 6.137
6.137 6.137 4.314
6.137 4.314 6.137
7.961 6.137 6.137
4.314 6.137 6.137
6.137 7.961 6.137
6.137 6.137 7.961
```